Li8Sm7Ge10: theoretical powder XRD pattern (Cu Ka), based on a cell relaxed with PBE.

Cell and atoms:
Lattice parameters (Å, degrees): 16.9838 16.9838 4.4202 90.00 90.00 156.91
Element x y z (fractional)
Li  0.0455  0.3318  0.0000
Li  0.2345  0.3842  0.5000
Li  0.3318  0.0455  0.0000
Li  0.3842  0.2345  0.5000
Li  0.6158  0.7655  0.5000
Li  0.6682  0.9545  0.0000
Li  0.7655  0.6158  0.5000
Li  0.9545  0.6682  0.0000
Sm  0.0564  0.9436  0.0000
Sm  0.2207  0.7793  0.5000
Sm  0.3377  0.6623  0.5000
Sm  0.5000  0.5000  0.0000
Sm  0.6623  0.3377  0.5000
Sm  0.7793  0.2207  0.5000
Sm  0.9436  0.0564  0.0000
Ge  0.0989  0.5287  0.0000
Ge  0.1261  0.8739  0.5000
Ge  0.1881  0.1881  0.5000
Ge  0.4063  0.5937  0.0000
Ge  0.4713  0.9011  0.0000
Ge  0.5287  0.0989  0.0000
Ge  0.5937  0.4063  0.0000
Ge  0.8119  0.8119  0.5000
Ge  0.8739  0.1261  0.5000
Ge  0.9011  0.4713  0.0000

Principal peaks in the range 5° ≤ 2θ ≤ 70°, by angle:
2θ/deg  d [Å]  Rel. int.
10.63  8.320  18
20.79  4.272  15
22.82  3.897  21
26.22  3.399  26
32.39  2.764  21
33.70  2.660  74
34.26  2.618  100
40.83  2.210  27
44.28  2.045  16
69.81  1.347  16